Record 1
Starting from a cell relaxed with GGA-PBE, the powder diffraction line list of InRe5 was computed for a wavelength of 1.5418 Å.
Kinematic intensities with the Lorentz-polarization factor, no thermal factor.

Atomic structure:
```
data_InRe5
_symmetry_space_group_name_H-M 'C 1 m 1'
_symmetry_Int_Tables_number 8
_cell_length_a 10.311
_cell_length_b 2.868
_cell_length_c 6.635
_cell_angle_alpha 90.00
_cell_angle_beta 105.36
_cell_angle_gamma 90.00
loop_
_symmetry_equiv_pos_as_xyz
'x,y,z'
'x,-y,z'
'x+1/2,y+1/2,z'
'x+1/2,-y+1/2,z'
loop_
_atom_site_label
_atom_site_type_symbol
_atom_site_fract_x
_atom_site_fract_y
_atom_site_fract_z
In1 In 0.000 0.000 0.000
Re1 Re 0.046 0.000 0.590
Re2 Re 0.165 0.500 0.344
Re3 Re 0.218 0.500 0.916
Re4 Re 0.323 0.000 0.652
Re5 Re 0.365 0.000 0.266
```

Main lines, low angle first (5 to 70 degrees two-theta):
d/Å	Position (°2θ)	Rel. int.	(hkl)
6.398	13.84	5	0 0 1
2.466	36.44	16	1 1 1
2.415	37.24	17	2 0 2
2.276	39.59	34	4 0 -2
2.168	41.66	100	1 1 -2
2.133	42.37	34	4 0 1
1.673	54.89	10	5 1 -1
1.656	55.48	10	2 0 -4
1.434	65.05	8	0 2 0
1.404	66.62	14	3 1 3

---

Record 2
Starting from a cell relaxed with GGA-PBE, the powder diffraction line list of Pm8Ge3Rh was computed for a wavelength of 1.5418 Å.
Kinematic intensities with the Lorentz-polarization factor, no thermal factor.

Atomic structure:
```
data_Pm8Ge3Rh
_symmetry_space_group_name_H-M 'I 4/m m m'
_symmetry_Int_Tables_number 139
_symmetry_space_group_name_Hall '-I 4 2'
_cell_length_a 7.092
_cell_length_b 7.092
_cell_length_c 14.118
_cell_angle_alpha 90.00
_cell_angle_beta 90.00
_cell_angle_gamma 90.00
loop_
_atom_site_label
_atom_site_type_symbol
_atom_site_fract_x
_atom_site_fract_y
_atom_site_fract_z
Pm1 Pm 0.244 0.244 0.122
Ge1 Ge 0.000 0.000 0.500
Ge2 Ge 0.000 0.500 0.250
Rh1 Rh 0.000 0.000 0.000
```

Main lines, low angle first (5 to 70 degrees two-theta):
d/Å	Position (°2θ)	Rel. int.	(hkl)
4.088	21.74	12	1 1 2
3.546	25.12	26	2 0 0
3.529	25.23	13	0 0 4
2.503	35.87	100	2 2 0
2.044	44.32	11	2 2 4
1.773	51.55	12	4 0 0
1.765	51.81	6	0 0 8
1.585	58.21	10	4 2 0
1.446	64.41	24	4 2 4
1.443	64.58	12	2 2 8